# Na4Dy2Cl9
Computed X-ray powder pattern, Cu Kα X-rays. Input: a structure optimized by DFT (GGA-PBE).
Intensities are scaled so that the largest is 100.

Crystal structure
Cell lengths 7.0934, 7.0945, 18.7278 Å; angles 90.03, 90.08, 119.99 degrees
Space group P-1 (No. 2)
Unique sites:
Na: 0.1660 0.3338 0.1781 (multiplicity 2)
Na: 0.1671 0.3329 0.6770 (multiplicity 2)
Na: 0.1670 0.3339 0.9810 (multiplicity 2)
Na: 0.1682 0.3345 0.4821 (multiplicity 2)
Dy: 0.4995 0.9985 0.6591 (multiplicity 2)
Dy: 0.4990 0.9992 0.1590 (multiplicity 2)
Cl: 0.1618 0.6889 0.9123 (multiplicity 2)
Cl: 0.1618 0.9758 0.4120 (multiplicity 2)
Cl: 0.1864 0.6599 0.5874 (multiplicity 2)
Cl: 0.1869 0.0273 0.0878 (multiplicity 2)
Cl: 0.1924 0.6947 0.2501 (multiplicity 2)
Cl: 0.1940 0.0004 0.7500 (multiplicity 2)
Cl: 0.4723 0.6593 0.0881 (multiplicity 2)
Cl: 0.4742 0.3122 0.5881 (multiplicity 2)
Cl: 0.4990 0.6925 0.7502 (multiplicity 2)

Top 8 peaks for 2θ from 10° to 80°, sorted by position:
14.42°, intensity 100.0
17.26°, intensity 40.1
23.90°, intensity 37.4
25.11°, intensity 21.5
28.95°, intensity 36.8
32.17°, intensity 22.2
38.42°, intensity 64.5
44.23°, intensity 36.1

# NaDyCl3
Computed X-ray powder pattern, Cu Kα X-rays. Input: a structure optimized by DFT (GGA-PBE).
Intensities are scaled so that the largest is 100.

Crystal structure
Cell lengths 12.8118, 7.4040, 6.5782 Å; angles 90.00, 90.00, 90.00 degrees
Space group C2/m (No. 12)
Unique sites:
Na: 0.1662 0.0000 0.2504 (multiplicity 4)
Dy: 0.0000 0.5000 0.0000 (multiplicity 2)
Dy: 0.0000 0.5000 0.5000 (multiplicity 2)
Cl: 0.0835 0.2484 0.7499 (multiplicity 8)
Cl: 0.1674 0.5000 0.2500 (multiplicity 4)

Top 8 peaks for 2θ from 10° to 80°, sorted by position:
13.82°, intensity 100.0
24.05°, intensity 21.7
30.55°, intensity 26.4
31.04°, intensity 14.3
36.55°, intensity 19.9
37.11°, intensity 18.2
39.25°, intensity 28.2
46.56°, intensity 16.4

# RbNa2DyCl6
Computed X-ray powder pattern, Cu Kα X-rays. Input: a structure optimized by DFT (GGA-PBE).
Intensities are scaled so that the largest is 100.

Crystal structure
Cell lengths 7.2592, 7.2592, 19.8687 Å; angles 90.00, 90.00, 120.00 degrees
Space group R3 (No. 146, hexagonal axes)
Unique sites:
Rb: 0.0000 0.0000 0.0000 (multiplicity 3)
Na: 0.0000 0.0000 0.2818 (multiplicity 3)
Na: 0.0000 0.0000 0.7971 (multiplicity 3)
Dy: 0.0000 0.0000 0.4784 (multiplicity 3)
Cl: 0.0056 0.3190 0.5462 (multiplicity 9)
Cl: 0.0284 0.6040 0.0575 (multiplicity 9)

Top 8 peaks for 2θ from 10° to 80°, sorted by position:
14.78°, intensity 33.3
16.69°, intensity 100.0
22.82°, intensity 62.8
24.53°, intensity 34.3
28.03°, intensity 43.0
36.74°, intensity 71.1
42.16°, intensity 32.8
43.17°, intensity 36.5